1.
For TiCu2P, a DFT-relaxed cell (GGA-PBE, the Materials Project) gives the calculated PXRD pattern in this record (copper Kα).
Peak positions follow from Bragg's law for the DFT cell and can differ from measured ones.

Structure:
Cell lengths 3.5168, 3.5168, 33.4926 Å; angles 90.00, 90.00, 90.00 degrees
Space group I4_1/amd (No. 141, origin choice 2)
Unique sites:
Ti 0.0000 0.2500 0.0970 (multiplicity 8)
Cu 0.0000 0.2500 0.2800 (multiplicity 8)
Cu 0.0000 0.2500 0.7776 (multiplicity 8)
P 0.0000 0.2500 0.1716 (multiplicity 8)

Top 6 peaks for 2θ = 10–90°, in order of rising 2θ:
| 2theta | d/Å | Rel. int. |
| --- | --- | --- |
| 10.57 | 8.373 | 81 |
| 39.68 | 2.272 | 99 |
| 43.22 | 2.093 | 31 |
| 45.43 | 1.997 | 100 |
| 52.01 | 1.758 | 51 |
| 69.86 | 1.346 | 27 |


2.
For Ti11CuP8, a DFT-relaxed cell (GGA-PBE, the Materials Project) gives the calculated PXRD pattern in this record (copper Kα).
Peak positions follow from Bragg's law for the DFT cell and can differ from measured ones.

Structure:
Cell lengths 9.4216, 18.4698, 3.4285 Å; angles 90.00, 90.00, 90.00 degrees
Space group Pbam (No. 55)
Unique sites:
Ti 0.0000 0.0000 0.0000 (multiplicity 2)
Ti 0.0089 0.2705 0.0000 (multiplicity 4)
Ti 0.1019 0.1439 0.5000 (multiplicity 4)
Ti 0.1444 0.5877 0.0000 (multiplicity 4)
Ti 0.1880 0.4315 0.0000 (multiplicity 4)
Ti 0.2293 0.8026 0.5000 (multiplicity 4)
Cu 0.0000 0.5000 0.5000 (multiplicity 2)
P 0.0394 0.3682 0.5000 (multiplicity 4)
P 0.0838 0.8680 0.0000 (multiplicity 4)
P 0.2071 0.0193 0.5000 (multiplicity 4)
P 0.2474 0.2070 0.0000 (multiplicity 4)

Top 6 peaks for 2θ = 10–90°, in order of rising 2θ:
| 2theta | d/Å | Rel. int. |
| --- | --- | --- |
| 39.20 | 2.298 | 100 |
| 39.34 | 2.291 | 60 |
| 43.11 | 2.098 | 42 |
| 43.69 | 2.072 | 87 |
| 44.38 | 2.041 | 43 |
| 53.45 | 1.714 | 48 |


3.
For YCuP2, a DFT-relaxed cell (GGA-PBE, the Materials Project) gives the calculated PXRD pattern in this record (copper Kα).
Peak positions follow from Bragg's law for the DFT cell and can differ from measured ones.

Structure:
Cell lengths 3.7269, 3.7269, 9.7717 Å; angles 90.00, 90.00, 90.00 degrees
Space group P4/nmm (No. 129, origin choice 2)
Unique sites:
Y 0.2500 0.2500 0.2318 (multiplicity 2)
Cu 0.2500 0.7500 0.5000 (multiplicity 2)
P 0.2500 0.2500 0.6551 (multiplicity 2)
P 0.2500 0.7500 0.0000 (multiplicity 2)

Top 6 peaks for 2θ = 10–90°, in order of rising 2θ:
| 2theta | d/Å | Rel. int. |
| --- | --- | --- |
| 25.58 | 3.482 | 32 |
| 36.64 | 2.453 | 25 |
| 36.79 | 2.443 | 19 |
| 38.83 | 2.319 | 100 |
| 48.88 | 1.863 | 31 |
| 84.58 | 1.146 | 19 |


4.
For ZrCu2P2, a DFT-relaxed cell (GGA-PBE, the Materials Project) gives the calculated PXRD pattern in this record (copper Kα).
Peak positions follow from Bragg's law for the DFT cell and can differ from measured ones.

Structure:
Cell lengths 3.8212, 3.8212, 6.1662 Å; angles 90.00, 90.00, 120.00 degrees
Space group P-3m1 (No. 164)
Unique sites:
Zr 0.0000 0.0000 0.0000 (multiplicity 1)
Cu 0.3333 0.6667 0.3594 (multiplicity 2)
P 0.3333 0.6667 0.7485 (multiplicity 2)

Top 6 peaks for 2θ = 10–90°, in order of rising 2θ:
| 2theta | d/Å | Rel. int. |
| --- | --- | --- |
| 30.66 | 2.916 | 100 |
| 39.97 | 2.256 | 76 |
| 47.59 | 1.911 | 59 |
| 63.85 | 1.458 | 18 |
| 66.86 | 1.399 | 22 |
| 83.39 | 1.159 | 16 |


5.
For PaCu2Sn, a DFT-relaxed cell (GGA-PBE, the Materials Project) gives the calculated PXRD pattern in this record (copper Kα).
Peak positions follow from Bragg's law for the DFT cell and can differ from measured ones.

Structure:
Cell lengths 6.6896, 6.6896, 6.6896 Å; angles 90.00, 90.00, 90.00 degrees
Space group Fm-3m (No. 225)
Unique sites:
Pa 0.0000 0.0000 0.0000 (multiplicity 4)
Cu 0.2500 0.2500 0.2500 (multiplicity 8)
Sn 0.0000 0.0000 0.5000 (multiplicity 4)

Top 6 peaks for 2θ = 10–90°, in order of rising 2θ:
| 2theta | d/Å | Rel. int. |
| --- | --- | --- |
| 23.03 | 3.862 | 11 |
| 26.65 | 3.345 | 23 |
| 38.05 | 2.365 | 100 |
| 54.90 | 1.672 | 17 |
| 68.74 | 1.366 | 35 |
| 81.37 | 1.183 | 11 |


6.
For CuPb3, a DFT-relaxed cell (GGA-PBE, the Materials Project) gives the calculated PXRD pattern in this record (copper Kα).
Peak positions follow from Bragg's law for the DFT cell and can differ from measured ones.

Structure:
Cell lengths 4.8091, 4.8091, 9.2111 Å; angles 90.00, 90.00, 90.00 degrees
Space group I4/mmm (No. 139)
Unique sites:
Cu 0.0000 0.0000 0.0000 (multiplicity 2)
Pb 0.0000 0.0000 0.5000 (multiplicity 2)
Pb 0.0000 0.5000 0.2500 (multiplicity 4)

Top 6 peaks for 2θ = 10–90°, in order of rising 2θ:
| 2theta | d/Å | Rel. int. |
| --- | --- | --- |
| 32.74 | 2.736 | 100 |
| 37.40 | 2.405 | 35 |
| 39.12 | 2.303 | 16 |
| 55.23 | 1.663 | 23 |
| 64.53 | 1.444 | 29 |
| 66.87 | 1.399 | 14 |


7.
For CuPb3, a DFT-relaxed cell (GGA-PBE, the Materials Project) gives the calculated PXRD pattern in this record (copper Kα).
Peak positions follow from Bragg's law for the DFT cell and can differ from measured ones.

Structure:
Cell lengths 4.7604, 4.7604, 4.7604 Å; angles 90.00, 90.00, 90.00 degrees
Space group Pm-3m (No. 221)
Unique sites:
Cu 0.0000 0.0000 0.0000 (multiplicity 1)
Pb 0.0000 0.5000 0.5000 (multiplicity 3)

Top 6 peaks for 2θ = 10–90°, in order of rising 2θ:
| 2theta | d/Å | Rel. int. |
| --- | --- | --- |
| 32.58 | 2.748 | 100 |
| 37.80 | 2.380 | 51 |
| 54.52 | 1.683 | 36 |
| 64.97 | 1.435 | 42 |
| 68.25 | 1.374 | 12 |
| 89.81 | 1.092 | 19 |